# 1
# TbSm3Ho2
Theoretical XRD peak list, Cu Kα (λ = 1.5418 Å). Input: a DFT-relaxed cell (GGA-PBE, Alexandria).
Kinematic intensities with the Lorentz-polarization factor, no thermal factor.

Principal peaks in the range 5° ≤ 2θ ≤ 70°, by intensity:
31.8 deg, I 100; 33.5 deg, I 88; 31.0 deg, I 50; 60.5 deg, I 45; 50.6 deg, I 39; 28.8 deg, I 36

Cell and atoms:
a b c (Å): 7.2210 7.2215 8.9023
angles (deg): 78.26 78.23 60.01
Sites, in units of the cell vectors:
Tb1 0.2489 0.2512 0.4985
Tb2 0.7511 0.7488 0.5015
Sm1 0.2489 0.7510 0.4982
Sm2 0.3604 0.3612 0.8348
Sm3 0.3605 0.8611 0.8340
Sm4 0.6395 0.1389 0.1660
Sm5 0.6396 0.6388 0.1652
Sm6 0.7511 0.2490 0.5018
Ho1 0.1374 0.1400 0.1664
Ho2 0.1370 0.6398 0.1672
Ho3 0.8630 0.3602 0.8328
Ho4 0.8626 0.8600 0.8336

# 2
# TbSm2Ho6
Theoretical XRD peak list, Cu Kα (λ = 1.5418 Å). Input: a DFT-relaxed cell (GGA-PBE, Alexandria).
Kinematic intensities with the Lorentz-polarization factor, no thermal factor.

Principal peaks in the range 5° ≤ 2θ ≤ 70°, by intensity:
31.5 deg, I 100; 31.0 deg, I 54; 32.4 deg, I 40; 28.8 deg, I 36; 33.8 deg, I 32; 33.3 deg, I 29

Cell and atoms:
a b c (Å): 9.5514 9.5514 6.5510
angles (deg): 99.25 99.25 95.97
Sites, in units of the cell vectors:
Tb1 0.1190 0.8810 0.7500
Tb2 0.8810 0.1190 0.2500
Sm1 0.3324 0.3825 0.6284
Sm2 0.3825 0.3324 0.1284
Sm3 0.6175 0.6676 0.8716
Sm4 0.6676 0.6175 0.3716
Ho1 0.0441 0.2215 0.8167
Ho2 0.0593 0.4620 0.2708
Ho3 0.2215 0.0441 0.3167
Ho4 0.2770 0.6512 0.9966
Ho5 0.3488 0.7230 0.5034
Ho6 0.4620 0.0593 0.7708
Ho7 0.5380 0.9407 0.2292
Ho8 0.6512 0.2770 0.4966
Ho9 0.7230 0.3488 0.0034
Ho10 0.7785 0.9559 0.6833
Ho11 0.9407 0.5380 0.7292
Ho12 0.9559 0.7785 0.1833

# 3
# Tb6SmHo12
Theoretical XRD peak list, Cu Kα (λ = 1.5418 Å). Input: a DFT-relaxed cell (GGA-PBE, Alexandria).
Kinematic intensities with the Lorentz-polarization factor, no thermal factor.

Principal peaks in the range 5° ≤ 2θ ≤ 70°, by intensity:
32.0 deg, I 100; 33.1 deg, I 69; 30.8 deg, I 43; 33.6 deg, I 26; 31.6 deg, I 23; 58.7 deg, I 18

Cell and atoms:
a b c (Å): 8.4977 8.4977 8.4977
angles (deg): 88.46 88.46 88.46
Sites, in units of the cell vectors:
Tb1 0.1873 0.5910 0.7568
Tb2 0.2432 0.8127 0.4090
Tb3 0.4090 0.2432 0.8127
Tb4 0.5910 0.7568 0.1873
Tb5 0.7568 0.1873 0.5910
Tb6 0.8127 0.4090 0.2432
Sm1 0.5000 0.5000 0.5000
Ho1 0.0436 0.2729 0.9362
Ho2 0.0638 0.9564 0.7271
Ho3 0.1453 0.2897 0.4899
Ho4 0.2729 0.9362 0.0436
Ho5 0.2897 0.4899 0.1453
Ho6 0.4899 0.1453 0.2897
Ho7 0.5101 0.8547 0.7103
Ho8 0.7103 0.5101 0.8547
Ho9 0.7271 0.0638 0.9564
Ho10 0.8547 0.7103 0.5101
Ho11 0.9362 0.0436 0.2729
Ho12 0.9564 0.7271 0.0638